# LiPd4Se4
Computed powder XRD pattern, Cu Kα X-rays. Input: a DFT-relaxed cell (PBE, Alexandria).
Neutral-atom scattering factors, no anomalous dispersion.

Largest 10 diffraction maxima, low angle first, 2θ from 15° to 90°:
2θ/deg  Rel. int.  hkl
26.83  100  1 1 2
43.33  28  2 2 0
45.12  42  2 0 4
51.71  31  3 1 2
54.82  9  1 1 6
62.95  9  4 0 0
69.69  6  3 3 2
72.33  8  3 1 6
80.77  14  4 2 4
85.75  9  5 1 2

```
data_LiPd4Se4
_cell_length_a 5.9060
_cell_length_b 5.9060
_cell_length_c 10.9673
_cell_angle_alpha 90.00
_cell_angle_beta 90.00
_cell_angle_gamma 90.00
_space_group_name_H-M_alt 'I -4 2 m'
_space_group_IT_number 121
_space_group_name_Hall 'I -4 2'
loop_
_atom_site_label
_atom_site_type_symbol
_atom_site_fract_x
_atom_site_fract_y
_atom_site_fract_z
Li1 Li 0.0000 0.0000 0.0000
Pd1 Pd 0.0000 0.0000 0.2795
Pd2 Pd 0.0000 0.5000 0.0000
Se1 Se 0.2354 0.2354 0.1326
```


# Rb2FeNiCl6
Computed powder XRD pattern, Cu Kα X-rays. Input: a DFT-relaxed cell (PBE, Alexandria).
Neutral-atom scattering factors, no anomalous dispersion.

Largest 10 diffraction maxima, low angle first, 2θ from 15° to 90°:
2θ/deg  Rel. int.  hkl
24.63  49  2 0 0
26.23  84  1 1 2
31.62  72  2 0 2
35.11  100  2 2 0
39.64  35  0 0 4
44.35  41  3 1 2
50.50  32  4 0 0
53.98  52  2 2 4
60.81  18  4 2 2
66.04  27  4 0 4

```
data_Rb2FeNiCl6
_cell_length_a 7.2294
_cell_length_b 7.2294
_cell_length_c 9.0939
_cell_angle_alpha 90.00
_cell_angle_beta 90.00
_cell_angle_gamma 90.00
_space_group_name_H-M_alt 'I 4/m m m'
_space_group_IT_number 139
_space_group_name_Hall '-I 4 2'
loop_
_atom_site_label
_atom_site_type_symbol
_atom_site_fract_x
_atom_site_fract_y
_atom_site_fract_z
Rb1 Rb 0.0000 0.5000 0.2500
Fe1 Fe 0.0000 0.0000 0.0000
Ni1 Ni 0.0000 0.0000 0.5000
Cl1 Cl 0.0000 0.0000 0.2540
Cl2 Cl 0.2461 0.2461 0.0000
```


# Nd7Pd3
Computed powder XRD pattern, Cu Kα X-rays. Input: a DFT-relaxed cell (PBE, Alexandria).
Neutral-atom scattering factors, no anomalous dispersion.

Largest 10 diffraction maxima, low angle first, 2θ from 15° to 90°:
2θ/deg  Rel. int.  hkl
29.39  48  1 0 2
30.08  100  2 1 1
30.30  19  3 0 0
33.38  64  3 0 1
34.34  56  2 0 2
35.13  47  2 2 0
46.88  22  2 0 3
52.56  27  3 0 3
53.27  24  3 2 2
53.69  24  5 0 1

```
data_Nd7Pd3
_cell_length_a 10.2180
_cell_length_b 10.2180
_cell_length_c 6.4714
_cell_angle_alpha 90.00
_cell_angle_beta 90.00
_cell_angle_gamma 120.00
_space_group_name_H-M_alt 'P 63 m c'
_space_group_IT_number 186
_space_group_name_Hall 'P 6c -2c'
loop_
_atom_site_label
_atom_site_type_symbol
_atom_site_fract_x
_atom_site_fract_y
_atom_site_fract_z
Nd1 Nd 0.0758 0.5379 0.9997
Nd2 Nd 0.1253 0.2507 0.2933
Nd3 Nd 0.3333 0.6667 0.5000
Pd1 Pd 0.1896 0.3791 0.7431
```